CaDy3Pt2: simulated X-ray diffraction stick pattern (Cu Ka), based on a crystal structure in Alexandria, relaxed with GGA-PBE.

Structure:
Lattice parameters (Å, degrees): 4.7611 8.7930 7.2803 90.00 90.00 90.00
Sites, in units of the cell vectors:
Ca 0.0000 0.0805 0.0000
Ca 0.0000 0.9195 0.5000
Dy 0.0000 0.3304 0.6304
Dy 0.0000 0.6696 0.1304
Dy 0.5000 0.1746 0.3403
Dy 0.5000 0.4204 0.9729
Dy 0.5000 0.5796 0.4729
Dy 0.5000 0.8254 0.8403
Pt 0.0000 0.3540 0.2391
Pt 0.0000 0.6460 0.7391
Pt 0.5000 0.1620 0.7318
Pt 0.5000 0.8380 0.2318

Principal peaks in the range 5° ≤ 2θ ≤ 70°, low angle first:
2θ = 30.3°, d = 2.952 Å, rel. 75, hkl 1 2 1; 2θ = 32.6°, d = 2.747 Å, rel. 98, hkl 1 1 2; 2θ = 36.0°, d = 2.496 Å, rel. 100, hkl 1 3 0; 2θ = 37.8°, d = 2.381 Å, rel. 73, hkl 2 0 0; 2θ = 43.1°, d = 2.100 Å, rel. 41, hkl 1 1 3; 2θ = 44.0°, d = 2.059 Å, rel. 44, hkl 1 3 2

***

Sc3TiH8: simulated X-ray diffraction stick pattern (Cu Ka), based on a crystal structure in Alexandria, relaxed with GGA-PBE.

Structure:
Lattice parameters (Å, degrees): 4.6552 4.6552 4.6552 90.00 90.00 90.00
Sites, in units of the cell vectors:
Sc 0.0000 0.0000 0.5000
Sc 0.0000 0.5000 0.0000
Sc 0.5000 0.0000 0.0000
Ti 0.5000 0.5000 0.5000
H 0.2602 0.2602 0.2602
H 0.2602 0.2602 0.7398
H 0.2602 0.7398 0.2602
H 0.2602 0.7398 0.7398
H 0.7398 0.2602 0.2602
H 0.7398 0.2602 0.7398
H 0.7398 0.7398 0.2602
H 0.7398 0.7398 0.7398

Principal peaks in the range 5° ≤ 2θ ≤ 70°, low angle first:
2θ = 33.3°, d = 2.688 Å, rel. 100, hkl 1 1 1; 2θ = 38.7°, d = 2.328 Å, rel. 43, hkl 2 0 0; 2θ = 55.9°, d = 1.646 Å, rel. 32, hkl 2 2 0; 2θ = 66.6°, d = 1.404 Å, rel. 33, hkl 3 1 1